(1)
Sm2V2O7: theoretical powder X-ray diffraction pattern (Cu Kα, 1.54184 Å), based on a structure optimized by DFT (GGA+U).

Largest 8 diffraction maxima, low angle first, 10 to 90 degrees two-theta:
14.96 deg, rel. 25
28.86 deg, rel. 14
30.18 deg, rel. 100
34.98 deg, rel. 29
38.24 deg, rel. 19
50.31 deg, rel. 48
59.79 deg, rel. 41
81.85 deg, rel. 17

Unit cell a=7.255 b=7.255 c=7.255 alpha=60.00 beta=60.00 gamma=60.00
Positions (direct):
Sm (0.000, 0.000, 0.000)
Sm (0.000, 0.000, 0.500)
Sm (0.000, 0.500, 0.000)
Sm (0.500, 0.000, 0.000)
V (0.000, 0.500, 0.500)
V (0.500, 0.000, 0.500)
V (0.500, 0.500, 0.000)
V (0.500, 0.500, 0.500)
O (0.125, 0.125, 0.125)
O (0.172, 0.172, 0.578)
O (0.172, 0.578, 0.172)
O (0.172, 0.578, 0.578)
O (0.422, 0.422, 0.828)
O (0.422, 0.828, 0.422)
O (0.422, 0.828, 0.828)
O (0.578, 0.172, 0.172)
O (0.578, 0.172, 0.578)
O (0.578, 0.578, 0.172)
O (0.828, 0.422, 0.422)
O (0.828, 0.422, 0.828)
O (0.828, 0.828, 0.422)
O (0.875, 0.875, 0.875)

=====

(2)
SmV2O4: theoretical powder X-ray diffraction pattern (Cu Kα, 1.54184 Å), based on a structure optimized by DFT (GGA+U).

Largest 8 diffraction maxima, low angle first, 10 to 90 degrees two-theta:
25.37 deg, rel. 58
25.94 deg, rel. 53
30.87 deg, rel. 96
31.23 deg, rel. 100
31.60 deg, rel. 46
31.96 deg, rel. 48
40.18 deg, rel. 89
48.04 deg, rel. 45

Unit cell a=6.002 b=6.002 c=6.873 alpha=123.60 beta=123.60 gamma=72.72
Positions (direct):
Sm (0.119, 0.881, 0.750)
Sm (0.881, 0.119, 0.250)
V (0.000, 0.500, 0.000)
V (0.500, 0.000, 0.500)
V (0.500, 0.500, 0.000)
V (0.500, 0.500, 0.500)
O (0.214, 0.777, 0.432)
O (0.223, 0.786, 0.068)
O (0.279, 0.360, 0.568)
O (0.360, 0.279, 0.068)
O (0.640, 0.721, 0.932)
O (0.721, 0.640, 0.432)
O (0.777, 0.214, 0.932)
O (0.786, 0.223, 0.568)